(1)
Diffraction record for DyPaP. The X-ray diffraction stick pattern is calculated, not measured: it uses the PBE geometry in Alexandria and Cu Kα (weighted mean of Kα1 and Kα2).
Peak positions follow from Bragg's law for the DFT cell and can differ from measured ones.

Atomic structure:
abc: 12.1154 12.1154 3.4304
angles: 90.00 90.00 163.71
Element x y z (fractional)
Dy 0.1910 0.8090 0.7500
Dy 0.8090 0.1910 0.2500
Pa 0.0569 0.9431 0.7500
Pa 0.9431 0.0569 0.2500
P 0.3788 0.6212 0.7500
P 0.6212 0.3788 0.2500

Peak list (6 most intense, 10° ≤ 2θ ≤ 90°, sorted by position)
2θ 26.2, d = 3.399 Å, rel. 100; 2θ 27.0, d = 3.298 Å, rel. 77; 2θ 29.8, d = 2.998 Å, rel. 71; 2θ 34.5, d = 2.603 Å, rel. 99; 2θ 37.1, d = 2.425 Å, rel. 54; 2θ 37.2, d = 2.414 Å, rel. 83

=====

(2)
Diffraction record for Ac4TmSn4. The X-ray diffraction stick pattern is calculated, not measured: it uses the PBE geometry in Alexandria and Cu Kα (weighted mean of Kα1 and Kα2).
Peak positions follow from Bragg's law for the DFT cell and can differ from measured ones.

Atomic structure:
abc: 9.8202 9.8202 6.8783
angles: 90.00 90.00 90.00
Element x y z (fractional)
Ac 0.0372 0.6760 0.1073
Ac 0.1760 0.9628 0.6073
Ac 0.3240 0.5372 0.6073
Ac 0.4628 0.8240 0.1073
Ac 0.5372 0.1760 0.8927
Ac 0.6760 0.4628 0.3927
Ac 0.8240 0.0372 0.3927
Ac 0.9628 0.3240 0.8927
Tm 0.2500 0.2500 0.2500
Tm 0.7500 0.7500 0.7500
Sn 0.0060 0.6432 0.5971
Sn 0.1432 0.9940 0.0971
Sn 0.3568 0.5060 0.0971
Sn 0.4940 0.8568 0.5971
Sn 0.5060 0.1432 0.4029
Sn 0.6432 0.4940 0.9029
Sn 0.8568 0.0060 0.9029
Sn 0.9940 0.3568 0.4029

Peak list (6 most intense, 10° ≤ 2θ ≤ 90°, sorted by position)
2θ 24.0, d = 3.702 Å, rel. 32; 2θ 27.5, d = 3.246 Å, rel. 45; 2θ 28.8, d = 3.105 Å, rel. 100; 2θ 33.1, d = 2.708 Å, rel. 53; 2θ 42.3, d = 2.135 Å, rel. 32; 2θ 46.4, d = 1.958 Å, rel. 30

=====

(3)
Diffraction record for K3P11. The X-ray diffraction stick pattern is calculated, not measured: it uses the PBE geometry in Alexandria and Cu Kα (weighted mean of Kα1 and Kα2).
Peak positions follow from Bragg's law for the DFT cell and can differ from measured ones.

Atomic structure:
abc: 10.7148 13.9018 10.8308
angles: 90.00 90.00 90.00
Element x y z (fractional)
K 0.0000 0.2195 0.2500
K 0.0000 0.7805 0.7500
K 0.2350 0.4932 0.0707
K 0.2350 0.5068 0.5707
K 0.2650 0.0068 0.5707
K 0.2650 0.9932 0.0707
K 0.5000 0.2805 0.7500
K 0.5000 0.7195 0.2500
K 0.7350 0.0068 0.9293
K 0.7350 0.9932 0.4293
K 0.7650 0.4932 0.4293
K 0.7650 0.5068 0.9293
P 0.0000 0.0245 0.7500
P 0.0000 0.9755 0.2500
P 0.0109 0.3470 0.5129
P 0.0109 0.6530 0.0129
P 0.0810 0.1287 0.8771
P 0.0810 0.8713 0.3771
P 0.0823 0.3768 0.8128
P 0.0823 0.6232 0.3128
P 0.0893 0.2100 0.5692
P 0.0893 0.7900 0.0692
P 0.1776 0.2382 0.7559
P 0.1776 0.7618 0.2559
P 0.3224 0.2618 0.2559
P 0.3224 0.7382 0.7559
P 0.4107 0.2900 0.0692
P 0.4107 0.7100 0.5692
P 0.4177 0.1232 0.3128
P 0.4177 0.8768 0.8128
P 0.4190 0.3713 0.3771
P 0.4190 0.6287 0.8771
P 0.4891 0.1530 0.0129
P 0.4891 0.8470 0.5129
P 0.5000 0.4755 0.2500
P 0.5000 0.5245 0.7500
P 0.5109 0.1530 0.4871
P 0.5109 0.8470 0.9871
P 0.5810 0.3713 0.1229
P 0.5810 0.6287 0.6229
P 0.5823 0.1232 0.1872
P 0.5823 0.8768 0.6872
P 0.5893 0.2900 0.4308
P 0.5893 0.7100 0.9308
P 0.6776 0.2618 0.2441
P 0.6776 0.7382 0.7441
P 0.8224 0.2382 0.7441
P 0.8224 0.7618 0.2441
P 0.9107 0.2100 0.9308
P 0.9107 0.7900 0.4308
P 0.9177 0.3768 0.6872
P 0.9177 0.6232 0.1872
P 0.9190 0.1287 0.6229
P 0.9190 0.8713 0.1229
P 0.9891 0.3470 0.9871
P 0.9891 0.6530 0.4871

Peak list (6 most intense, 10° ≤ 2θ ≤ 90°, sorted by position)
2θ 13.3, d = 6.680 Å, rel. 100; 2θ 22.4, d = 3.961 Å, rel. 28; 2θ 26.7, d = 3.338 Å, rel. 48; 2θ 30.7, d = 2.916 Å, rel. 26; 2θ 31.7, d = 2.824 Å, rel. 32; 2θ 32.7, d = 2.738 Å, rel. 33

=====

(4)
Diffraction record for Ce2SiSe. The X-ray diffraction stick pattern is calculated, not measured: it uses the PBE geometry in Alexandria and Cu Kα (weighted mean of Kα1 and Kα2).
Peak positions follow from Bragg's law for the DFT cell and can differ from measured ones.

Atomic structure:
abc: 5.9337 5.9338 11.9206
angles: 90.00 90.00 90.00
Element x y z (fractional)
Ce 0.0000 0.2496 0.1231
Ce 0.0000 0.2504 0.6270
Ce 0.0000 0.7496 0.3730
Ce 0.0000 0.7504 0.8769
Ce 0.5000 0.2496 0.3769
Ce 0.5000 0.2504 0.8730
Ce 0.5000 0.7496 0.1270
Ce 0.5000 0.7504 0.6231
Si 0.0000 0.2505 0.8750
Si 0.0000 0.7495 0.1250
Si 0.5000 0.2505 0.6250
Si 0.5000 0.7495 0.3750
Se 0.0000 0.2496 0.3750
Se 0.0000 0.7504 0.6250
Se 0.5000 0.2496 0.1250
Se 0.5000 0.7504 0.8750

Peak list (6 most intense, 10° ≤ 2θ ≤ 90°, sorted by position)
2θ 26.0, d = 3.431 Å, rel. 55; 2θ 30.0, d = 2.980 Å, rel. 51; 2θ 30.1, d = 2.967 Å, rel. 100; 2θ 43.0, d = 2.103 Å, rel. 75; 2θ 43.1, d = 2.098 Å, rel. 37; 2θ 53.4, d = 1.715 Å, rel. 39

=====

(5)
Diffraction record for CsRbTlSe2. The X-ray diffraction stick pattern is calculated, not measured: it uses the PBE geometry in Alexandria and Cu Kα (weighted mean of Kα1 and Kα2).
Peak positions follow from Bragg's law for the DFT cell and can differ from measured ones.

Atomic structure:
abc: 6.5095 8.4375 7.3841
angles: 90.00 90.00 90.00
Element x y z (fractional)
Cs 0.2500 0.0000 0.2039
Cs 0.7500 0.0000 0.7961
Rb 0.2500 0.5000 0.4311
Rb 0.7500 0.5000 0.5689
Tl 0.0000 0.5000 0.0000
Tl 0.5000 0.5000 0.0000
Se 0.2500 0.2549 0.7916
Se 0.2500 0.7451 0.7916
Se 0.7500 0.2549 0.2084
Se 0.7500 0.7451 0.2084

Peak list (6 most intense, 10° ≤ 2θ ≤ 90°, sorted by position)
2θ 10.5, d = 8.437 Å, rel. 59; 2θ 12.0, d = 7.384 Å, rel. 68; 2θ 21.0, d = 4.221 Å, rel. 50; 2θ 26.3, d = 3.382 Å, rel. 75; 2θ 27.9, d = 3.192 Å, rel. 100; 2θ 31.9, d = 2.809 Å, rel. 74

=====

(6)
Diffraction record for LiScB4H16. The X-ray diffraction stick pattern is calculated, not measured: it uses the PBE geometry in Alexandria and Cu Kα (weighted mean of Kα1 and Kα2).
Peak positions follow from Bragg's law for the DFT cell and can differ from measured ones.

Atomic structure:
abc: 5.9482 5.9482 11.6670
angles: 90.00 90.00 94.74
Element x y z (fractional)
Li 0.0000 0.0000 0.0000
Li 0.0000 0.0000 0.5000
Sc 0.5000 0.5000 0.2244
Sc 0.5000 0.5000 0.7244
B 0.2302 0.2634 0.6007
B 0.2634 0.2302 0.1007
B 0.2688 0.7143 0.3223
B 0.2857 0.7312 0.8223
B 0.7143 0.2688 0.8223
B 0.7312 0.2857 0.3223
B 0.7366 0.7698 0.1007
B 0.7698 0.7366 0.6007
H 0.0269 0.2682 0.5931
H 0.1253 0.3141 0.0401
H 0.1428 0.8242 0.3746
H 0.1758 0.8572 0.8746
H 0.2075 0.5312 0.8253
H 0.2168 0.6965 0.2197
H 0.2195 0.2710 0.2022
H 0.2682 0.0269 0.0931
H 0.2693 0.5169 0.3585
H 0.2710 0.2195 0.7022
H 0.3035 0.7832 0.7197
H 0.3133 0.4538 0.5734
H 0.3141 0.1253 0.5401
H 0.4538 0.3133 0.0734
H 0.4688 0.7925 0.3253
H 0.4831 0.7307 0.8585
H 0.5169 0.2693 0.8585
H 0.5312 0.2075 0.3253
H 0.5462 0.6867 0.0734
H 0.6859 0.8747 0.5401
H 0.6867 0.5462 0.5734
H 0.6965 0.2168 0.7197
H 0.7290 0.7805 0.7022
H 0.7307 0.4831 0.3585
H 0.7318 0.9731 0.0931
H 0.7805 0.7290 0.2022
H 0.7832 0.3035 0.2197
H 0.7925 0.4688 0.8253
H 0.8242 0.1428 0.8746
H 0.8572 0.1758 0.3746
H 0.8747 0.6859 0.0401
H 0.9731 0.7318 0.5931

Peak list (6 most intense, 10° ≤ 2θ ≤ 90°, sorted by position)
2θ 14.9, d = 5.928 Å, rel. 87; 2θ 15.2, d = 5.833 Å, rel. 53; 2θ 20.3, d = 4.376 Å, rel. 28; 2θ 21.4, d = 4.158 Å, rel. 100; 2θ 25.4, d = 3.501 Å, rel. 34; 2θ 26.9, d = 3.315 Å, rel. 38

=====

(7)
Diffraction record for HoZrRuAu. The X-ray diffraction stick pattern is calculated, not measured: it uses the PBE geometry in Alexandria and Cu Kα (weighted mean of Kα1 and Kα2).
Peak positions follow from Bragg's law for the DFT cell and can differ from measured ones.

Atomic structure:
abc: 4.8405 4.8405 4.8405
angles: 60.00 60.00 60.00
Element x y z (fractional)
Ho 0.0000 0.0000 0.0000
Zr 0.5000 0.5000 0.5000
Ru 0.7500 0.7500 0.7500
Au 0.2500 0.2500 0.2500

Peak list (6 most intense, 10° ≤ 2θ ≤ 90°, sorted by position)
2θ 22.5, d = 3.952 Å, rel. 10; 2θ 37.1, d = 2.420 Å, rel. 100; 2θ 43.9, d = 2.064 Å, rel. 6; 2θ 53.5, d = 1.711 Å, rel. 17; 2θ 67.0, d = 1.397 Å, rel. 35; 2θ 79.1, d = 1.210 Å, rel. 11

=====

(8)
Diffraction record for Li5SbS4. The X-ray diffraction stick pattern is calculated, not measured: it uses the PBE geometry in Alexandria and Cu Kα (weighted mean of Kα1 and Kα2).
Peak positions follow from Bragg's law for the DFT cell and can differ from measured ones.

Atomic structure:
abc: 7.7279 9.3077 5.5966
angles: 90.00 90.00 90.00
Element x y z (fractional)
Li 0.0234 0.0466 0.2445
Li 0.0234 0.4534 0.2445
Li 0.2500 0.7500 0.2109
Li 0.4766 0.0466 0.2445
Li 0.4766 0.4534 0.2445
Li 0.5234 0.5466 0.7555
Li 0.5234 0.9534 0.7555
Li 0.7500 0.2500 0.7891
Li 0.9766 0.5466 0.7555
Li 0.9766 0.9534 0.7555
Sb 0.2500 0.2500 0.8305
Sb 0.7500 0.7500 0.1695
S 0.0105 0.2500 0.5354
S 0.2500 0.5350 0.9661
S 0.2500 0.9650 0.9661
S 0.4895 0.2500 0.5354
S 0.5105 0.7500 0.4646
S 0.7500 0.0350 0.0339
S 0.7500 0.4650 0.0339
S 0.9895 0.7500 0.4646

Peak list (6 most intense, 10° ≤ 2θ ≤ 90°, sorted by position)
2θ 14.9, d = 5.946 Å, rel. 100; 2θ 18.5, d = 4.796 Å, rel. 77; 2θ 19.6, d = 4.533 Å, rel. 63; 2θ 28.1, d = 3.180 Å, rel. 74; 2θ 31.1, d = 2.879 Å, rel. 39; 2θ 44.5, d = 2.038 Å, rel. 42